No. 1
This entry pairs a crystal structure of Ac2Ta3O10 with its simulated X-ray powder pattern. Radiation: Cu Kα (weighted mean of Kα1 and Kα2). Structure: a DFT-relaxed cell (GGA-PBE, Alexandria).

The 10 most intense peaks (2θ from 5° to 70°), in order of rising 2θ:
2theta	d (Å)	Rel. int.
27.5	3.243	100
27.6	3.227	16
27.9	3.197	57
28.7	3.113	55
30.1	2.967	21
37.0	2.432	14
42.1	2.148	25
51.9	1.762	18
52.7	1.736	19
56.1	1.639	18

Structure:
Lattice parameters (Å, degrees): 9.8024 9.8024 7.8734 111.02 111.02 35.24
Fractional coordinates of all 30 atoms:
Ac1 0.1070 0.1070 0.2161
Ac2 0.2105 0.2105 0.8279
Ac3 0.7895 0.7895 0.1721
Ac4 0.8930 0.8930 0.7839
Ta1 0.2344 0.7656 0.5000
Ta2 0.3168 0.3168 0.4738
Ta3 0.4199 0.4199 0.0349
Ta4 0.5801 0.5801 0.9651
Ta5 0.6832 0.6832 0.5262
Ta6 0.7656 0.2344 0.5000
O1 0.0000 0.5000 0.5000
O2 0.0156 0.0156 0.6998
O3 0.1071 0.5927 0.0163
O4 0.1324 0.6455 0.4665
O5 0.2664 0.2664 0.2150
O6 0.2744 0.7256 0.0000
O7 0.3545 0.8676 0.5335
O8 0.3702 0.3702 0.7521
O9 0.4073 0.8929 0.9837
O10 0.4743 0.4743 0.3035
O11 0.5000 0.0000 0.5000
O12 0.5257 0.5257 0.6965
O13 0.5927 0.1071 0.0163
O14 0.6298 0.6298 0.2479
O15 0.6455 0.1324 0.4665
O16 0.7256 0.2744 0.0000
O17 0.7336 0.7336 0.7850
O18 0.8676 0.3545 0.5335
O19 0.8929 0.4073 0.9837
O20 0.9844 0.9844 0.3002

No. 2
This entry pairs a crystal structure of Sr2LiH6Ir with its simulated X-ray powder pattern. Radiation: Cu Kα (weighted mean of Kα1 and Kα2). Structure: a DFT-relaxed cell (GGA-PBE, Alexandria).

The 10 most intense peaks (2θ from 5° to 70°), in order of rising 2θ:
2theta	d (Å)	Rel. int.
17.7	4.997	41
18.9	4.694	25
26.0	3.421	100
33.1	2.710	74
37.8	2.382	36
40.9	2.206	48
42.6	2.124	28
53.6	1.711	23
54.9	1.672	26
64.4	1.447	26

Structure:
Lattice parameters (Å, degrees): 5.4205 5.4205 4.9971 90.00 90.00 120.00
Fractional coordinates of all 10 atoms:
Sr1 0.3333 0.6667 0.2179
Sr2 0.6667 0.3333 0.7821
Li1 0.0000 0.0000 0.5000
H1 0.1511 0.3022 0.7929
H2 0.1511 0.8489 0.7929
H3 0.3022 0.1511 0.2071
H4 0.6978 0.8489 0.7929
H5 0.8489 0.1511 0.2071
H6 0.8489 0.6978 0.2071
Ir1 0.0000 0.0000 0.0000